Diffraction record for Nd5Tl4Pb. The powder diffractogram is computed, not measured: it uses a crystal structure in Alexandria, relaxed with PBE and Cu Kα (weighted mean of Kα1 and Kα2).

Top 12 peaks for 2θ from 10° to 90°, sorted by position:
(1 0 5), 31.85°, I 100; (1 1 0), 33.74°, I 43; (0 0 10), 42.73°, I 11; (2 0 0), 48.45°, I 16; (1 1 10), 55.52°, I 21; (2 1 5), 59.16°, I 35; (2 0 10), 66.56°, I 12; (2 2 0), 70.95°, I 5; (1 0 15), 71.43°, I 10; (3 0 5), 79.87°, I 7; (3 1 0), 80.91°, I 7; (2 2 10), 86.51°, I 6

Atomic structure:
a = 3.757 Å, b = 3.757 Å, c = 21.159 Å
α = 90.00°, β = 90.00°, γ = 90.00°
Space group P4/mmm (No. 123)
Symmetry-distinct sites (fractional):
Nd 0.000 0.000 0.000 x1
Nd 0.000 0.000 0.199 x2
Nd 0.000 0.000 0.399 x2
Tl 0.500 0.500 0.099 x2
Tl 0.500 0.500 0.297 x2
Pb 0.500 0.500 0.500 x1